Calculated powder XRD pattern
Compound: MgCr8Fe3O16
Radiation: copper Kα
Structure: a crystal structure in Alexandria, relaxed with PBE+U
Peak positions follow from Bragg's law for the DFT cell and can differ from measured ones.

Cell and atoms:
```
MgCr8Fe3O16
1.0
6.051 0.000 0.000
0.000 6.051 0.000
0.000 0.000 8.502
Mg Cr Fe O
1 8 3 16
direct
0.000 0.000 0.000 Mg
0.000 0.250 0.626 Cr
0.000 0.750 0.626 Cr
0.249 0.500 0.876 Cr
0.250 0.000 0.374 Cr
0.500 0.249 0.124 Cr
0.500 0.751 0.124 Cr
0.750 0.000 0.374 Cr
0.751 0.500 0.876 Cr
0.000 0.500 0.251 Fe
0.500 0.000 0.749 Fe
0.500 0.500 0.500 Fe
0.000 0.224 0.387 O
0.000 0.273 0.865 O
0.000 0.727 0.865 O
0.000 0.776 0.387 O
0.224 0.000 0.613 O
0.224 0.500 0.639 O
0.273 0.000 0.135 O
0.277 0.500 0.114 O
0.500 0.224 0.361 O
0.500 0.277 0.886 O
0.500 0.723 0.886 O
0.500 0.776 0.361 O
0.723 0.500 0.114 O
0.727 0.000 0.135 O
0.776 0.000 0.613 O
0.776 0.500 0.639 O
```

The 12 most intense peaks (10° ≤ 2θ ≤ 80°), by angle:
- hkl 1 0 1, 17.99 deg, I 27
- hkl 2 0 0, 29.59 deg, I 43
- hkl 2 1 1, 34.79 deg, I 100
- hkl 1 0 3, 34.96 deg, I 51
- hkl 2 0 2, 36.45 deg, I 12
- hkl 2 2 0, 42.24 deg, I 25
- hkl 0 0 4, 42.53 deg, I 12
- hkl 3 2 1, 55.83 deg, I 33
- hkl 1 0 5, 56.19 deg, I 16
- hkl 4 0 0, 61.27 deg, I 24
- hkl 2 2 4, 61.49 deg, I 47
- hkl 4 1 3, 72.53 deg, I 10